(1)
Diffraction record for Ce2ZrAs3. The X-ray diffraction stick pattern is calculated, not measured: it uses a cell relaxed with PBE and Cu Kα.
Kinematic intensities with the Lorentz-polarization factor, no thermal factor.

Crystal structure
Cell lengths 4.1081, 4.1081, 17.2618 Å; angles 90.00, 90.00, 90.00 degrees
Fractional coordinates of all 12 atoms:
Ce 0.0000 0.0000 0.1656
Ce 0.0000 0.0000 0.8344
Ce 0.5000 0.5000 0.3344
Ce 0.5000 0.5000 0.6656
Zr 0.0000 0.0000 0.5000
Zr 0.5000 0.5000 0.0000
As 0.0000 0.0000 0.0000
As 0.0000 0.0000 0.3389
As 0.0000 0.0000 0.6611
As 0.5000 0.5000 0.1611
As 0.5000 0.5000 0.5000
As 0.5000 0.5000 0.8389

Most intense lines, 10° ≤ 2θ ≤ 80°, in order of rising 2θ:
26.7 deg, 3.343 Å, rel. 15
30.8 deg, 2.905 Å, rel. 100
31.1 deg, 2.877 Å, rel. 48
44.1 deg, 2.054 Å, rel. 37
44.3 deg, 2.044 Å, rel. 72
52.3 deg, 1.750 Å, rel. 5
54.9 deg, 1.672 Å, rel. 38
64.1 deg, 1.452 Å, rel. 12
64.8 deg, 1.438 Å, rel. 5
72.8 deg, 1.299 Å, rel. 16
73.0 deg, 1.297 Å, rel. 16
73.5 deg, 1.289 Å, rel. 15



(2)
Diffraction record for Ce2ZrAs4. The X-ray diffraction stick pattern is calculated, not measured: it uses a cell relaxed with PBE and Cu Kα.
Kinematic intensities with the Lorentz-polarization factor, no thermal factor.

Crystal structure
Cell lengths 3.9547, 3.9547, 10.8814 Å; angles 90.00, 90.00, 90.00 degrees
Fractional coordinates of all 7 atoms:
Ce 0.0000 0.5000 0.2147
Ce 0.5000 0.0000 0.7853
Zr 0.0000 0.0000 0.5000
As 0.0000 0.0000 0.0000
As 0.0000 0.5000 0.6690
As 0.5000 0.0000 0.3310
As 0.5000 0.5000 0.0000

Most intense lines, 10° ≤ 2θ ≤ 80°, in order of rising 2θ:
23.9 deg, 3.717 Å, rel. 23
27.9 deg, 3.199 Å, rel. 42
32.9 deg, 2.720 Å, rel. 12
33.5 deg, 2.673 Å, rel. 19
36.1 deg, 2.487 Å, rel. 100
40.2 deg, 2.241 Å, rel. 29
45.9 deg, 1.977 Å, rel. 35
47.7 deg, 1.907 Å, rel. 10
54.6 deg, 1.682 Å, rel. 13
62.7 deg, 1.483 Å, rel. 16
66.9 deg, 1.398 Å, rel. 11
78.5 deg, 1.219 Å, rel. 20



(3)
Diffraction record for As2Cl. The X-ray diffraction stick pattern is calculated, not measured: it uses a cell relaxed with PBE and Cu Kα.
Kinematic intensities with the Lorentz-polarization factor, no thermal factor.

Crystal structure
Cell lengths 11.8434, 3.6502, 9.4375 Å; angles 90.00, 112.96, 90.00 degrees
Fractional coordinates of all 12 atoms:
As 0.1153 0.0000 0.0526
As 0.1222 0.5000 0.2409
As 0.3778 0.0000 0.7591
As 0.3847 0.5000 0.9474
As 0.6153 0.5000 0.0526
As 0.6222 0.0000 0.2409
As 0.8778 0.5000 0.7591
As 0.8847 0.0000 0.9474
Cl 0.1739 0.0000 0.6377
Cl 0.3261 0.5000 0.3623
Cl 0.6739 0.5000 0.6377
Cl 0.8261 0.0000 0.3623

Most intense lines, 10° ≤ 2θ ≤ 80°, in order of rising 2θ:
10.2 deg, 8.690 Å, rel. 65
15.5 deg, 5.734 Å, rel. 100
20.6 deg, 4.316 Å, rel. 45
28.9 deg, 3.087 Å, rel. 44
30.9 deg, 2.894 Å, rel. 17
31.0 deg, 2.887 Å, rel. 86
32.9 deg, 2.726 Å, rel. 41
38.0 deg, 2.371 Å, rel. 37
45.9 deg, 1.976 Å, rel. 31
46.7 deg, 1.947 Å, rel. 24
50.0 deg, 1.825 Å, rel. 16
53.8 deg, 1.705 Å, rel. 22



(4)
Diffraction record for K2CrAsCl. The X-ray diffraction stick pattern is calculated, not measured: it uses a cell relaxed with PBE and Cu Kα.
Kinematic intensities with the Lorentz-polarization factor, no thermal factor.

Crystal structure
Cell lengths 6.5005, 6.5005, 4.4573 Å; angles 90.00, 90.00, 90.00 degrees
Fractional coordinates of all 5 atoms:
K 0.0000 0.5000 0.0000
K 0.5000 0.0000 0.0000
Cr 0.0000 0.0000 0.0000
As 0.5000 0.5000 0.5000
Cl 0.0000 0.0000 0.5000

Most intense lines, 10° ≤ 2θ ≤ 80°, in order of rising 2θ:
19.3 deg, 4.597 Å, rel. 28
24.2 deg, 3.676 Å, rel. 39
27.4 deg, 3.250 Å, rel. 100
27.9 deg, 3.200 Å, rel. 61
36.9 deg, 2.435 Å, rel. 26
39.2 deg, 2.298 Å, rel. 36
40.5 deg, 2.229 Å, rel. 16
48.8 deg, 1.867 Å, rel. 23
49.6 deg, 1.838 Å, rel. 34
57.6 deg, 1.600 Å, rel. 21
64.1 deg, 1.454 Å, rel. 15
78.6 deg, 1.217 Å, rel. 16



(5)
Diffraction record for TlCrAsCl6. The X-ray diffraction stick pattern is calculated, not measured: it uses a cell relaxed with PBE and Cu Kα.
Kinematic intensities with the Lorentz-polarization factor, no thermal factor.

Crystal structure
Cell lengths 6.6242, 6.6242, 6.9917 Å; angles 91.93, 91.93, 117.72 degrees
Fractional coordinates of all 9 atoms:
Tl 0.0000 0.0000 0.0000
Cr 0.3250 0.6750 0.5000
As 0.6647 0.3353 0.5000
Cl 0.3556 0.4071 0.2858
Cl 0.3615 0.0086 0.6805
Cl 0.5929 0.6444 0.7142
Cl 0.6395 0.0425 0.2832
Cl 0.9575 0.3605 0.7168
Cl 0.9914 0.6385 0.3195

Most intense lines, 10° ≤ 2θ ≤ 80°, in order of rising 2θ:
15.1 deg, 5.855 Å, rel. 25
19.2 deg, 4.614 Å, rel. 99
20.2 deg, 4.400 Å, rel. 100
20.3 deg, 4.366 Å, rel. 84
27.0 deg, 3.308 Å, rel. 30
29.5 deg, 3.026 Å, rel. 30
30.5 deg, 2.927 Å, rel. 27
32.5 deg, 2.755 Å, rel. 26
35.6 deg, 2.525 Å, rel. 34
36.9 deg, 2.439 Å, rel. 29
38.1 deg, 2.364 Å, rel. 72
46.5 deg, 1.952 Å, rel. 32



(6)
Diffraction record for CsAs4Cl12. The X-ray diffraction stick pattern is calculated, not measured: it uses a cell relaxed with PBE and Cu Kα.
Kinematic intensities with the Lorentz-polarization factor, no thermal factor.

Crystal structure
Cell lengths 8.6756, 8.6756, 8.6756 Å; angles 109.47, 109.47, 109.47 degrees
Fractional coordinates of all 17 atoms:
Cs 0.0000 0.0000 0.0000
As 0.0000 0.0000 0.5000
As 0.0000 0.5000 0.0000
As 0.5000 0.0000 0.0000
As 0.5000 0.5000 0.5000
Cl 0.0558 0.2776 0.7782
Cl 0.2218 0.4994 0.2776
Cl 0.2218 0.9442 0.7224
Cl 0.2776 0.2218 0.4994
Cl 0.2776 0.7782 0.0558
Cl 0.4994 0.2776 0.2218
Cl 0.5006 0.7224 0.7782
Cl 0.7224 0.2218 0.9442
Cl 0.7224 0.7782 0.5006
Cl 0.7782 0.0558 0.2776
Cl 0.7782 0.5006 0.7224
Cl 0.9442 0.7224 0.2218

Most intense lines, 10° ≤ 2θ ≤ 80°, in order of rising 2θ:
12.5 deg, 7.084 Å, rel. 63
17.7 deg, 5.009 Å, rel. 95
21.7 deg, 4.090 Å, rel. 35
25.1 deg, 3.542 Å, rel. 68
28.2 deg, 3.168 Å, rel. 36
33.5 deg, 2.677 Å, rel. 43
35.9 deg, 2.504 Å, rel. 100
40.3 deg, 2.240 Å, rel. 42
44.3 deg, 2.045 Å, rel. 46
51.6 deg, 1.771 Å, rel. 56
56.6 deg, 1.625 Å, rel. 21
70.3 deg, 1.339 Å, rel. 22



(7)
Diffraction record for Cs3As2Cl9. The X-ray diffraction stick pattern is calculated, not measured: it uses a cell relaxed with PBE and Cu Kα.
Kinematic intensities with the Lorentz-polarization factor, no thermal factor.

Crystal structure
Cell lengths 7.6040, 7.6040, 9.2161 Å; angles 90.00, 90.00, 120.00 degrees
Fractional coordinates of all 14 atoms:
Cs 0.0000 0.0000 0.0000
Cs 0.3333 0.6667 0.3198
Cs 0.6667 0.3333 0.6802
As 0.3333 0.6667 0.8199
As 0.6667 0.3333 0.1801
Cl 0.0000 0.5000 0.0000
Cl 0.1840 0.3680 0.6790
Cl 0.1840 0.8160 0.6790
Cl 0.3680 0.1840 0.3210
Cl 0.5000 0.0000 0.0000
Cl 0.5000 0.5000 0.0000
Cl 0.6320 0.8160 0.6790
Cl 0.8160 0.1840 0.3210
Cl 0.8160 0.6320 0.3210

Most intense lines, 10° ≤ 2θ ≤ 80°, in order of rising 2θ:
16.5 deg, 5.358 Å, rel. 18
23.4 deg, 3.802 Å, rel. 67
23.6 deg, 3.776 Å, rel. 64
28.8 deg, 3.101 Å, rel. 64
29.1 deg, 3.072 Å, rel. 21
33.4 deg, 2.679 Å, rel. 100
41.2 deg, 2.190 Å, rel. 29
47.8 deg, 1.901 Å, rel. 33
48.2 deg, 1.888 Å, rel. 34
54.3 deg, 1.691 Å, rel. 17
59.6 deg, 1.550 Å, rel. 16
64.9 deg, 1.436 Å, rel. 17



(8)
Diffraction record for Cs2FeAsCl6. The X-ray diffraction stick pattern is calculated, not measured: it uses a cell relaxed with PBE and Cu Kα.
Kinematic intensities with the Lorentz-polarization factor, no thermal factor.

Crystal structure
Cell lengths 7.6373, 7.6373, 7.6373 Å; angles 122.88, 122.88, 85.08 degrees
Fractional coordinates of all 10 atoms:
Cs 0.2500 0.7500 0.5000
Cs 0.7500 0.2500 0.5000
Fe 0.0000 0.0000 0.0000
As 0.5000 0.5000 0.0000
Cl 0.2037 0.2037 0.0000
Cl 0.2564 0.2564 0.5128
Cl 0.2564 0.7436 0.0000
Cl 0.7436 0.2564 0.0000
Cl 0.7436 0.7436 0.4872
Cl 0.7963 0.7963 0.0000

Most intense lines, 10° ≤ 2θ ≤ 80°, in order of rising 2θ:
23.4 deg, 3.805 Å, rel. 100
24.4 deg, 3.651 Å, rel. 42
29.2 deg, 3.063 Å, rel. 56
31.8 deg, 2.814 Å, rel. 33
34.7 deg, 2.582 Å, rel. 59
40.5 deg, 2.229 Å, rel. 17
42.3 deg, 2.136 Å, rel. 42
47.8 deg, 1.902 Å, rel. 39
50.0 deg, 1.826 Å, rel. 20
51.9 deg, 1.763 Å, rel. 17
60.4 deg, 1.531 Å, rel. 19
63.9 deg, 1.456 Å, rel. 17



(9)
Diffraction record for CsAsIrClO. The X-ray diffraction stick pattern is calculated, not measured: it uses a cell relaxed with PBE and Cu Kα.
Kinematic intensities with the Lorentz-polarization factor, no thermal factor.

Crystal structure
Cell lengths 3.8160, 3.8160, 8.9411 Å; angles 90.00, 90.00, 120.00 degrees
Fractional coordinates of all 5 atoms:
Cs 0.0000 0.0000 0.0000
As 0.6667 0.3333 0.6144
Ir 0.0000 0.0000 0.4955
Cl 0.3333 0.6667 0.3246
O 0.6667 0.3333 0.8086

Most intense lines, 10° ≤ 2θ ≤ 80°, in order of rising 2θ:
19.9 deg, 4.471 Å, rel. 46
27.0 deg, 3.305 Å, rel. 51
28.8 deg, 3.100 Å, rel. 12
33.7 deg, 2.657 Å, rel. 100
47.7 deg, 1.908 Å, rel. 32
49.2 deg, 1.852 Å, rel. 40
52.1 deg, 1.755 Å, rel. 23
59.7 deg, 1.550 Å, rel. 19
64.2 deg, 1.451 Å, rel. 8
69.2 deg, 1.358 Å, rel. 11
70.9 deg, 1.329 Å, rel. 13
79.7 deg, 1.203 Å, rel. 17



(10)
Diffraction record for CsAsIrClO. The X-ray diffraction stick pattern is calculated, not measured: it uses a cell relaxed with PBE and Cu Kα.
Kinematic intensities with the Lorentz-polarization factor, no thermal factor.

Crystal structure
Cell lengths 4.2346, 3.7350, 8.3831 Å; angles 90.00, 92.95, 90.00 degrees
Fractional coordinates of all 5 atoms:
Cs 0.0000 0.0000 0.0000
As 0.5105 0.5000 0.3541
Ir 0.4911 0.0000 0.5129
Cl 0.4728 0.5000 0.7150
O 0.5207 0.5000 0.1493

Most intense lines, 10° ≤ 2θ ≤ 80°, in order of rising 2θ:
10.6 deg, 8.372 Å, rel. 48
21.0 deg, 4.229 Å, rel. 36
21.2 deg, 4.186 Å, rel. 62
23.1 deg, 3.855 Å, rel. 95
24.1 deg, 3.699 Å, rel. 100
32.1 deg, 2.787 Å, rel. 98
33.4 deg, 2.683 Å, rel. 51
34.1 deg, 2.628 Å, rel. 40
42.8 deg, 2.115 Å, rel. 30
45.1 deg, 2.011 Å, rel. 43
46.7 deg, 1.944 Å, rel. 39
50.0 deg, 1.826 Å, rel. 29



(11)
Diffraction record for CsAsIrClO. The X-ray diffraction stick pattern is calculated, not measured: it uses a cell relaxed with PBE and Cu Kα.
Kinematic intensities with the Lorentz-polarization factor, no thermal factor.

Crystal structure
Cell lengths 3.8181, 3.8181, 26.7473 Å; angles 90.00, 90.00, 120.00 degrees
Fractional coordinates of all 15 atoms:
Cs 0.0000 0.0000 0.0000
Cs 0.3333 0.6667 0.6667
Cs 0.6667 0.3333 0.3333
As 0.0000 0.0000 0.2046
As 0.3333 0.6667 0.8713
As 0.6667 0.3333 0.5379
Ir 0.0000 0.0000 0.8315
Ir 0.3333 0.6667 0.4982
Ir 0.6667 0.3333 0.1648
Cl 0.0000 0.0000 0.4412
Cl 0.3333 0.6667 0.1079
Cl 0.6667 0.3333 0.7745
O 0.0000 0.0000 0.2695
O 0.3333 0.6667 0.9362
O 0.6667 0.3333 0.6029

Most intense lines, 10° ≤ 2θ ≤ 80°, in order of rising 2θ:
19.9 deg, 4.458 Å, rel. 63
27.2 deg, 3.282 Å, rel. 48
27.8 deg, 3.210 Å, rel. 22
31.8 deg, 2.813 Å, rel. 100
35.9 deg, 2.500 Å, rel. 25
38.3 deg, 2.351 Å, rel. 19
46.4 deg, 1.959 Å, rel. 29
47.6 deg, 1.909 Å, rel. 45
52.1 deg, 1.755 Å, rel. 31
52.4 deg, 1.747 Å, rel. 16
58.4 deg, 1.580 Å, rel. 17
78.6 deg, 1.217 Å, rel. 15



(12)
Diffraction record for CsNaAsCl6. The X-ray diffraction stick pattern is calculated, not measured: it uses a cell relaxed with PBE and Cu Kα.
Kinematic intensities with the Lorentz-polarization factor, no thermal factor.

Crystal structure
Cell lengths 6.9949, 6.9949, 7.5380 Å; angles 90.00, 90.00, 120.00 degrees
Fractional coordinates of all 9 atoms:
Cs 0.0000 0.0000 0.0000
Na 0.3333 0.6667 0.5000
As 0.6667 0.3333 0.5000
Cl 0.3942 0.0459 0.6861
Cl 0.3942 0.3483 0.3139
Cl 0.6517 0.0459 0.3139
Cl 0.6517 0.6058 0.6861
Cl 0.9541 0.3483 0.6861
Cl 0.9541 0.6058 0.3139

Most intense lines, 10° ≤ 2θ ≤ 80°, in order of rising 2θ:
14.6 deg, 6.058 Å, rel. 20
18.8 deg, 4.722 Å, rel. 100
25.5 deg, 3.497 Å, rel. 11
28.1 deg, 3.173 Å, rel. 26
31.8 deg, 2.810 Å, rel. 17
35.0 deg, 2.564 Å, rel. 51
41.2 deg, 2.191 Å, rel. 26
44.9 deg, 2.019 Å, rel. 17
47.0 deg, 1.934 Å, rel. 13
54.2 deg, 1.692 Å, rel. 13
55.4 deg, 1.659 Å, rel. 10
56.1 deg, 1.640 Å, rel. 12



(13)
Diffraction record for Cs2AsRuCl6. The X-ray diffraction stick pattern is calculated, not measured: it uses a cell relaxed with PBE and Cu Kα.
Kinematic intensities with the Lorentz-polarization factor, no thermal factor.

Crystal structure
Cell lengths 7.6959, 7.6959, 7.6959 Å; angles 125.12, 125.12, 81.34 degrees
Fractional coordinates of all 10 atoms:
Cs 0.2500 0.7500 0.5000
Cs 0.7500 0.2500 0.5000
As 0.0000 0.0000 0.0000
Ru 0.5000 0.5000 0.0000
Cl 0.2538 0.2538 0.5077
Cl 0.2538 0.7462 0.0000
Cl 0.2950 0.2950 0.0000
Cl 0.7050 0.7050 0.0000
Cl 0.7462 0.2538 0.0000
Cl 0.7462 0.7462 0.4923

Most intense lines, 10° ≤ 2θ ≤ 80°, in order of rising 2θ:
23.4 deg, 3.804 Å, rel. 100
25.1 deg, 3.546 Å, rel. 39
29.5 deg, 3.031 Å, rel. 32
30.6 deg, 2.919 Å, rel. 34
35.8 deg, 2.508 Å, rel. 49
40.0 deg, 2.254 Å, rel. 18
43.2 deg, 2.094 Å, rel. 39
47.8 deg, 1.902 Å, rel. 36
50.3 deg, 1.814 Å, rel. 17
51.5 deg, 1.773 Å, rel. 16
61.2 deg, 1.515 Å, rel. 17
63.3 deg, 1.470 Å, rel. 17



(14)
Diffraction record for Cs2AsSCl5. The X-ray diffraction stick pattern is calculated, not measured: it uses a cell relaxed with PBE and Cu Kα.
Kinematic intensities with the Lorentz-polarization factor, no thermal factor.

Crystal structure
Cell lengths 7.4903, 7.4903, 7.4903 Å; angles 120.00, 120.00, 90.00 degrees
Fractional coordinates of all 9 atoms:
Cs 0.0000 0.5000 0.5000
Cs 0.5000 0.0000 0.5000
As 0.2287 0.2287 0.0000
S 0.0243 0.0243 0.0000
Cl 0.0271 0.0271 0.5511
Cl 0.0271 0.4759 0.0000
Cl 0.4554 0.4554 0.0000
Cl 0.4759 0.0271 0.0000
Cl 0.4759 0.4759 0.4489

Most intense lines, 10° ≤ 2θ ≤ 80°, in order of rising 2θ:
14.5 deg, 6.116 Å, rel. 41
16.7 deg, 5.296 Å, rel. 15
23.8 deg, 3.745 Å, rel. 100
29.2 deg, 3.058 Å, rel. 81
33.8 deg, 2.648 Å, rel. 76
38.0 deg, 2.369 Å, rel. 14
41.8 deg, 2.162 Å, rel. 40
48.6 deg, 1.873 Å, rel. 47
54.8 deg, 1.675 Å, rel. 25
57.7 deg, 1.597 Å, rel. 27
60.6 deg, 1.529 Å, rel. 15
66.0 deg, 1.416 Å, rel. 25